# 1
RbTlCl2: computed powder X-ray diffraction pattern (Cu Kα, 1.54184 Å), based on a cell relaxed with PBE.
Neutral-atom scattering factors, no anomalous dispersion.

The 8 most intense peaks (2θ = 5–70°), low angle first:
- 2θ = 11.59°, I = 22
- 2θ = 23.29°, I = 64
- 2θ = 26.96°, I = 100
- 2θ = 38.50°, I = 76
- 2θ = 45.48°, I = 36
- 2θ = 47.62°, I = 27
- 2θ = 62.83°, I = 35
- 2θ = 69.64°, I = 26

Structural model:
Unit cell a=9.3553 b=9.3553 c=9.3553 alpha=120.02 beta=120.02 gamma=89.96
Fractional positions:
Rb1 0.0000 0.0000 0.0000
Rb2 0.0000 0.0000 0.5000
Rb3 0.0000 0.5000 0.0000
Rb4 0.5000 0.0000 0.5000
Tl1 0.0000 0.5000 0.5000
Tl2 0.5000 0.0000 0.0000
Tl3 0.5000 0.5000 0.0000
Tl4 0.5000 0.5000 0.5000
Cl1 0.2515 0.2555 0.5039
Cl2 0.2524 0.7485 0.5039
Cl3 0.2515 0.7476 0.9961
Cl4 0.2555 0.2515 0.0039
Cl5 0.7445 0.7485 0.9961
Cl6 0.7485 0.2524 0.0039
Cl7 0.7476 0.2515 0.4961
Cl8 0.7485 0.7445 0.4961

# 2
MgZn2Co4S8: computed powder X-ray diffraction pattern (Cu Kα, 1.54184 Å), based on a cell relaxed with PBE.
Neutral-atom scattering factors, no anomalous dispersion.

The 8 most intense peaks (2θ = 5–70°), low angle first:
- 2θ = 15.26°, I = 59
- 2θ = 30.04°, I = 16
- 2θ = 30.35°, I = 26
- 2θ = 36.23°, I = 100
- 2θ = 36.69°, I = 45
- 2θ = 47.17°, I = 18
- 2θ = 52.52°, I = 56
- 2θ = 53.65°, I = 20

Structural model:
Unit cell a=6.9741 b=6.9741 c=7.2061 alpha=121.08 beta=121.08 gamma=58.67
Fractional positions:
Mg1 0.0000 0.0000 0.0000
Zn1 0.1959 0.1959 0.5051
Zn2 0.1965 0.1965 0.8865
Co1 0.1525 0.6468 0.4000
Co2 0.6468 0.1525 0.4000
Co3 0.6504 0.6504 0.3945
Co4 0.6504 0.6504 0.9071
S1 0.4087 0.8531 0.6317
S2 0.4179 0.4179 0.2123
S3 0.4178 0.4178 0.6240
S4 0.4430 0.8859 0.1650
S5 0.8531 0.4087 0.6317
S6 0.8820 0.8820 0.1757
S7 0.8817 0.8817 0.5886
S8 0.8859 0.4430 0.1650

# 3
ErMgAu: computed powder X-ray diffraction pattern (Cu Kα, 1.54184 Å), based on a cell relaxed with PBE.
Neutral-atom scattering factors, no anomalous dispersion.

The 8 most intense peaks (2θ = 5–70°), low angle first:
- 2θ = 23.49°, I = 54
- 2θ = 25.62°, I = 28
- 2θ = 32.18°, I = 71
- 2θ = 35.04°, I = 100
- 2θ = 41.30°, I = 44
- 2θ = 42.62°, I = 39
- 2θ = 62.06°, I = 27
- 2θ = 66.15°, I = 29

Structural model:
Unit cell a=7.5733 b=7.5733 c=4.1006 alpha=90.00 beta=90.00 gamma=120.00
Fractional positions:
Er1 0.0000 0.5923 0.0000
Er2 0.4077 0.4077 0.0000
Er3 0.5923 0.0000 0.0000
Mg1 0.0000 0.2500 0.5000
Mg2 0.2500 0.0000 0.5000
Mg3 0.7500 0.7500 0.5000
Au1 0.0000 0.0000 0.0000
Au2 0.3333 0.6667 0.5000
Au3 0.6667 0.3333 0.5000

# 4
LiSiBiO4: computed powder X-ray diffraction pattern (Cu Kα, 1.54184 Å), based on a cell relaxed with PBE.
Neutral-atom scattering factors, no anomalous dispersion.

The 8 most intense peaks (2θ = 5–70°), low angle first:
- 2θ = 19.51°, I = 65
- 2θ = 21.84°, I = 57
- 2θ = 25.67°, I = 74
- 2θ = 28.60°, I = 21
- 2θ = 32.83°, I = 100
- 2θ = 38.96°, I = 29
- 2θ = 40.57°, I = 22
- 2θ = 43.19°, I = 31

Structural model:
Unit cell a=4.8854 b=12.4857 c=5.3675 alpha=90.00 beta=90.00 gamma=90.00
Fractional positions:
Li1 0.0000 0.2362 0.2500
Li2 0.0000 0.7638 0.7500
Li3 0.5000 0.2638 0.7500
Li4 0.5000 0.7362 0.2500
Si1 0.0000 0.3843 0.7500
Si2 0.0000 0.6157 0.2500
Si3 0.5000 0.1157 0.2500
Si4 0.5000 0.8843 0.7500
Bi1 0.0000 0.1001 0.7500
Bi2 0.0000 0.8999 0.2500
Bi3 0.5000 0.3999 0.2500
Bi4 0.5000 0.6001 0.7500
O1 0.1629 0.3085 0.5452
O2 0.1629 0.6915 0.0452
O3 0.2448 0.4541 0.8947
O4 0.2448 0.5459 0.3947
O5 0.2552 0.0459 0.3947
O6 0.2552 0.9541 0.8947
O7 0.3371 0.1915 0.0452
O8 0.3371 0.8085 0.5452
O9 0.6629 0.1915 0.4548
O10 0.6629 0.8085 0.9548
O11 0.7448 0.0459 0.1053
O12 0.7448 0.9541 0.6053
O13 0.7552 0.4541 0.6053
O14 0.7552 0.5459 0.1053
O15 0.8371 0.3085 0.9548
O16 0.8371 0.6915 0.4548

# 5
CsHg3: computed powder X-ray diffraction pattern (Cu Kα, 1.54184 Å), based on a cell relaxed with PBE.
Neutral-atom scattering factors, no anomalous dispersion.

The 8 most intense peaks (2θ = 5–70°), low angle first:
- 2θ = 13.03°, I = 23
- 2θ = 26.23°, I = 23
- 2θ = 30.19°, I = 27
- 2θ = 30.33°, I = 100
- 2θ = 40.41°, I = 15
- 2θ = 42.74°, I = 15
- 2θ = 53.71°, I = 21
- 2θ = 56.29°, I = 25

Structural model:
Unit cell a=7.8459 b=7.8459 c=5.9207 alpha=90.00 beta=90.00 gamma=120.00
Fractional positions:
Cs1 0.3333 0.6667 0.2500
Cs2 0.6667 0.3333 0.7500
Hg1 0.1406 0.2812 0.7500
Hg2 0.1406 0.8594 0.7500
Hg3 0.2812 0.1406 0.2500
Hg4 0.7188 0.8594 0.7500
Hg5 0.8594 0.1406 0.2500
Hg6 0.8594 0.7188 0.2500

# 6
K2CN2: computed powder X-ray diffraction pattern (Cu Kα, 1.54184 Å), based on a cell relaxed with PBE.
Neutral-atom scattering factors, no anomalous dispersion.

The 8 most intense peaks (2θ = 5–70°), low angle first:
- 2θ = 30.62°, I = 76
- 2θ = 31.00°, I = 100
- 2θ = 31.17°, I = 82
- 2θ = 32.10°, I = 43
- 2θ = 34.52°, I = 60
- 2θ = 44.53°, I = 51
- 2θ = 45.23°, I = 29
- 2θ = 52.51°, I = 23

Structural model:
Unit cell a=5.8189 b=5.7698 c=5.9179 alpha=90.00 beta=109.54 gamma=90.00
Fractional positions:
K1 0.1753 0.0000 0.2919
K2 0.3247 0.5000 0.7081
K3 0.6753 0.5000 0.2919
K4 0.8247 0.0000 0.7081
C1 0.0000 0.5000 0.0000
C2 0.5000 0.0000 0.0000
N1 0.1524 0.5000 0.2065
N2 0.3476 0.0000 0.7935
N3 0.6524 0.0000 0.2065
N4 0.8476 0.5000 0.7935

# 7
Zn3CdS4: computed powder X-ray diffraction pattern (Cu Kα, 1.54184 Å), based on a cell relaxed with PBE.
Neutral-atom scattering factors, no anomalous dispersion.

The 8 most intense peaks (2θ = 5–70°), low angle first:
- 2θ = 22.57°, I = 4
- 2θ = 27.73°, I = 100
- 2θ = 32.13°, I = 16
- 2θ = 36.04°, I = 3
- 2θ = 46.07°, I = 59
- 2θ = 54.63°, I = 42
- 2θ = 57.27°, I = 4
- 2θ = 67.20°, I = 9

Structural model:
Unit cell a=5.5722 b=5.5722 c=5.5722 alpha=90.00 beta=90.00 gamma=90.00
Fractional positions:
Zn1 0.0000 0.0000 0.5000
Zn2 0.0000 0.5000 0.0000
Zn3 0.5000 0.0000 0.0000
Cd1 0.5000 0.5000 0.5000
S1 0.2373 0.2373 0.7627
S2 0.2373 0.7627 0.2373
S3 0.7627 0.2373 0.2373
S4 0.7627 0.7627 0.7627